1.
The following is a computed powder diffraction line list of MgCu8O8. It was derived from a cell relaxed with PBE, using Cu Kα (weighted mean of Kα1 and Kα2).
Intensities are scaled so that the largest is 100.

The 6 most intense peaks (2θ from 10° to 90°), in order of rising 2θ:
17.2 deg, rel. 23, (1 0 1)
20.1 deg, rel. 25, (1 0 -2)
21.6 deg, rel. 26, (1 0 2)
36.3 deg, rel. 26, (2 0 -3)
38.1 deg, rel. 51, (0 1 3)
44.0 deg, rel. 100, (2 1 0)

Atomic structure:
```
MgCu8O8
1.0
5.890 0.000 0.000
0.000 2.880 0.000
-0.888 0.000 12.353
Mg Cu O
1 8 8
Cartesian
0.000 0.000 0.000
0.013 0.000 4.288
0.856 1.440 10.300
1.542 1.440 2.390
2.405 0.000 8.490
2.998 0.000 0.349
3.797 1.440 6.572
4.377 1.440 2.370
5.156 0.000 8.549
-0.461 0.000 10.385
1.468 1.440 0.515
1.248 1.440 4.189
2.118 0.000 10.302
2.569 0.000 6.672
4.495 1.440 0.489
4.645 1.440 4.183
5.042 0.000 6.719
```

2.
The following is a computed powder diffraction line list of MgCu2O2. It was derived from a cell relaxed with PBE, using Cu Kα (weighted mean of Kα1 and Kα2).
Intensities are scaled so that the largest is 100.

The 6 most intense peaks (2θ from 10° to 90°), in order of rising 2θ:
24.3 deg, rel. 100, (1 0 -1)
24.5 deg, rel. 92, (1 0 1)
37.0 deg, rel. 86, (1 1 0)
37.5 deg, rel. 93, (2 0 0)
49.5 deg, rel. 78, (1 1 -2)
49.8 deg, rel. 96, (1 1 2)

Atomic structure:
```
MgCu2O2
1.0
4.796 0.000 0.000
0.000 2.817 0.000
-0.046 0.000 5.615
Mg Cu O
1 2 2
Cartesian
0.000 0.000 0.000
-0.023 0.000 2.808
2.398 1.409 0.000
0.004 1.409 4.190
4.746 1.409 1.425
```

3.
The following is a computed powder diffraction line list of MgCu2O4. It was derived from a cell relaxed with PBE, using Cu Kα (weighted mean of Kα1 and Kα2).
Intensities are scaled so that the largest is 100.

The 6 most intense peaks (2θ from 10° to 90°), in order of rising 2θ:
18.4 deg, rel. 60, (0 0 3)
35.5 deg, rel. 100, (2 0 1)
43.2 deg, rel. 47, (2 0 4)
57.1 deg, rel. 26, (3 0 3)
62.7 deg, rel. 26, (2 2 0)
62.8 deg, rel. 26, (0 2 8)

Atomic structure:
```
MgCu2O4
1.0
5.931 0.000 0.000
-2.965 5.136 0.000
0.000 0.000 14.474
Mg Cu O
6 12 24
Cartesian
0.000 0.000 0.000
0.000 0.000 3.524
0.000 3.424 8.367
2.965 1.712 4.158
2.965 1.712 9.597
2.965 1.712 13.208
0.000 0.000 9.025
0.000 1.713 11.420
-1.482 4.280 11.420
1.478 0.854 6.583
0.000 3.424 4.825
0.000 3.424 13.831
2.965 0.004 1.778
1.486 2.566 1.778
1.482 4.280 11.420
4.452 0.854 6.583
2.965 3.429 6.583
4.445 2.566 1.778
0.000 0.000 5.528
0.000 0.000 12.487
-1.345 2.648 12.575
0.000 1.539 7.754
-1.632 4.366 7.754
0.000 1.890 0.650
-1.328 4.191 0.650
1.352 0.780 10.269
0.000 3.424 2.916
0.000 3.424 10.358
1.599 0.923 2.852
1.345 2.648 12.575
0.000 4.977 12.575
2.965 0.105 5.490
1.573 2.516 5.490
1.328 4.191 0.650
2.965 1.712 0.689
2.965 1.712 7.614
1.632 4.366 7.754
4.331 0.923 2.852
2.965 3.289 2.852
4.579 0.780 10.269
2.965 3.575 10.269
4.357 2.516 5.490
```

4.
The following is a computed powder diffraction line list of MgCu2O4. It was derived from a cell relaxed with PBE, using Cu Kα (weighted mean of Kα1 and Kα2).
Intensities are scaled so that the largest is 100.

The 6 most intense peaks (2θ from 10° to 90°), in order of rising 2θ:
17.6 deg, rel. 100, (0 2 0)
35.6 deg, rel. 25, (0 0 2)
35.9 deg, rel. 27, (2 0 1)
39.9 deg, rel. 24, (0 2 2)
40.3 deg, rel. 49, (2 2 1)
51.5 deg, rel. 39, (2 4 1)

Atomic structure:
```
MgCu2O4
1.0
5.753 0.000 0.000
0.000 10.080 0.000
0.000 0.000 5.048
Mg Cu O
4 8 16
Cartesian
1.438 2.520 0.079
1.438 7.560 1.732
4.315 2.520 3.316
4.315 7.560 4.969
0.000 0.000 2.524
0.000 5.040 2.524
1.438 5.211 4.972
1.438 9.909 4.972
2.877 0.000 2.524
2.877 5.040 2.524
4.315 0.171 0.077
4.315 4.869 0.077
0.017 1.191 4.215
0.017 3.849 4.215
1.438 0.963 1.523
1.438 4.077 1.523
1.438 6.102 3.229
1.438 9.018 3.229
2.860 1.191 4.215
2.860 3.849 4.215
2.893 6.231 0.833
2.893 8.889 0.833
4.315 1.062 1.819
4.315 3.978 1.819
4.315 6.003 3.525
4.315 9.117 3.525
5.737 6.231 0.833
5.737 8.889 0.833
```

5.
The following is a computed powder diffraction line list of MgCu2O4. It was derived from a cell relaxed with PBE, using Cu Kα (weighted mean of Kα1 and Kα2).
Intensities are scaled so that the largest is 100.

The 6 most intense peaks (2θ from 10° to 90°), in order of rising 2θ:
19.4 deg, rel. 51, (0 0 2)
30.2 deg, rel. 51, (1 1 0)
34.5 deg, rel. 100, (0 2 3)
36.1 deg, rel. 61, (0 4 0)
39.8 deg, rel. 38, (1 3 0)
44.7 deg, rel. 31, (1 3 2)

Atomic structure:
```
MgCu2O4
1.0
3.095 0.000 0.000
0.000 9.950 0.000
0.000 0.000 9.159
Mg Cu O
4 8 16
Cartesian
0.426 1.523 2.290
0.426 3.452 6.869
2.669 6.498 2.290
2.669 8.427 6.869
1.060 6.115 5.220
1.060 6.115 8.518
1.060 8.810 0.641
1.060 8.810 3.939
2.035 1.140 5.220
2.035 1.140 8.518
2.035 3.835 0.641
2.035 3.835 3.939
0.017 2.487 0.000
0.017 2.487 4.579
1.101 6.978 6.869
1.101 7.946 2.290
1.149 5.422 1.076
1.149 5.422 3.504
1.149 9.503 5.655
1.149 9.503 8.083
1.946 0.447 1.076
1.946 0.447 3.504
1.946 4.528 5.655
1.946 4.528 8.083
1.994 2.004 6.869
1.994 2.971 2.290
3.078 7.462 0.000
3.078 7.462 4.579
```

6.
The following is a computed powder diffraction line list of MgCu2O2. It was derived from a cell relaxed with PBE, using Cu Kα (weighted mean of Kα1 and Kα2).
Intensities are scaled so that the largest is 100.

The 6 most intense peaks (2θ from 10° to 90°), in order of rising 2θ:
31.0 deg, rel. 37, (1 1 0)
35.9 deg, rel. 97, (1 1 1)
36.5 deg, rel. 100, (1 1 -2)
39.1 deg, rel. 46, (0 0 3)
43.5 deg, rel. 36, (0 2 0)
43.6 deg, rel. 35, (2 0 -1)

Atomic structure:
```
MgCu2O2
1.0
4.153 0.000 0.000
0.000 4.163 0.000
-1.902 0.000 6.917
Mg Cu O
2 4 4
Cartesian
0.000 0.000 0.000
2.077 2.081 0.000
0.019 2.080 2.199
0.155 4.162 4.719
2.096 4.162 2.199
2.232 2.080 4.719
0.000 2.080 0.000
-0.951 3.190 3.459
2.077 4.161 0.000
1.126 1.109 3.459
```

7.
The following is a computed powder diffraction line list of MgCu3P3O13. It was derived from a cell relaxed with PBE, using Cu Kα (weighted mean of Kα1 and Kα2).
Intensities are scaled so that the largest is 100.

The 6 most intense peaks (2θ from 10° to 90°), in order of rising 2θ:
19.6 deg, rel. 100, (1 0 -2)
23.9 deg, rel. 63, (2 0 0)
27.1 deg, rel. 54, (2 0 1)
29.1 deg, rel. 56, (0 2 0)
31.6 deg, rel. 84, (1 0 3)
33.5 deg, rel. 45, (1 2 1)

Atomic structure:
```
MgCu3P3O13
1.0
7.567 0.000 0.000
0.000 6.138 0.000
-1.854 0.000 9.916
Mg Cu P O
2 6 6 26
Cartesian
0.757 1.535 1.767
4.956 4.604 8.149
-0.349 1.535 7.903
1.180 4.604 4.272
3.783 0.000 0.000
3.783 3.069 0.000
4.534 1.535 5.644
6.062 4.604 2.013
1.154 4.604 1.116
0.390 4.604 7.529
1.244 1.535 5.069
4.469 4.604 4.847
5.323 1.535 2.386
4.559 1.535 8.800
-1.779 1.535 9.719
-0.617 3.453 7.820
-0.617 5.754 7.820
0.439 4.604 2.522
-0.022 1.535 5.945
1.151 0.381 4.001
1.151 2.688 4.001
1.966 3.284 1.055
1.966 5.923 1.055
1.111 4.604 6.201
1.206 1.535 8.968
1.504 4.604 8.640
2.480 1.535 5.957
3.233 4.604 3.959
4.209 1.535 1.276
4.508 4.604 0.948
4.602 1.535 3.715
3.747 0.215 8.861
3.747 2.854 8.861
4.562 3.450 5.915
4.562 5.757 5.915
5.735 4.604 3.971
5.274 1.535 7.394
6.330 0.384 2.095
6.330 2.685 2.095
7.492 4.604 0.196
```

8.
The following is a computed powder diffraction line list of MgCu2P2O8. It was derived from a cell relaxed with PBE, using Cu Kα (weighted mean of Kα1 and Kα2).
Intensities are scaled so that the largest is 100.

The 6 most intense peaks (2θ from 10° to 90°), in order of rising 2θ:
20.0 deg, rel. 54, (1 1 0)
24.5 deg, rel. 90, (0 1 1)
32.6 deg, rel. 41, (0 0 2)
33.0 deg, rel. 61, (1 2 0)
33.1 deg, rel. 100, (1 -1 1)
36.0 deg, rel. 38, (2 1 0)

Atomic structure:
```
MgCu2P2O8
1.0
5.556 0.000 0.000
2.777 4.859 0.000
2.707 -0.001 5.489
Mg Cu P O
1 2 2 8
Cartesian
0.000 0.000 0.000
8.256 3.378 5.487
6.902 1.109 2.743
5.477 2.041 5.487
6.901 4.413 2.743
4.537 3.027 4.726
1.887 1.069 0.852
3.140 0.465 3.552
3.712 3.024 0.761
6.170 3.466 1.778
6.356 1.066 4.631
7.628 3.465 3.708
5.109 0.463 1.934
```